No. 1
Simulated powder diffraction line list
Compound: Ce2TeO2
Radiation: CuKα
Structure: a cell relaxed with PBE
No peak broadening, texture or thermal motion is included.

Peak list (10 most intense, 15° ≤ 2θ ≤ 90°, low angle first)
two_theta	I/Imax	index
30.4	100	1 0 3
31.3	40	1 1 0
42.2	8	0 0 6
44.9	20	2 0 0
53.5	22	1 1 6
55.2	37	2 1 3
63.3	10	2 0 6
73.7	8	3 0 3
87.0	8	2 1 9
89.3	10	3 1 6

```
data_Ce2TeO2
_space_group_name_H-M_alt 'I 4/m m m'
_space_group_IT_number 139
_space_group_name_Hall '-I 4 2'
_cell_length_a 4.041
_cell_length_b 4.041
_cell_length_c 12.850
_cell_angle_alpha 90.00
_cell_angle_beta 90.00
_cell_angle_gamma 90.00
loop_
_atom_site_label
_atom_site_type_symbol
_atom_site_fract_x
_atom_site_fract_y
_atom_site_fract_z
Ce1 Ce 0.000 0.000 0.156
Te1 Te 0.000 0.000 0.500
O1 O 0.000 0.500 0.250
```

---

No. 2
Simulated powder diffraction line list
Compound: YIr2
Radiation: CuKα
Structure: a cell relaxed with PBE
No peak broadening, texture or thermal motion is included.

Peak list (10 most intense, 15° ≤ 2θ ≤ 90°, low angle first)
two_theta	I/Imax	index
20.3	42	1 1 1
33.4	10	2 2 0
39.4	100	3 1 1
41.2	66	2 2 2
47.9	19	4 0 0
52.5	11	3 3 1
63.7	32	5 1 1
70.1	32	4 4 0
83.5	12	5 3 3
84.7	26	6 2 2

Cell lengths 7.594, 7.594, 7.594 Å; angles 90.00, 90.00, 90.00 degrees
Space group Fd-3m (No. 227, origin choice 2)
One atom of each set of equivalent atoms:
Y 0.125 0.125 0.125
Ir 0.000 0.000 0.500

---

No. 3
Simulated powder diffraction line list
Compound: Li3Bi2P5O18
Radiation: CuKα
Structure: a cell relaxed with PBE
No peak broadening, texture or thermal motion is included.

Peak list (10 most intense, 15° ≤ 2θ ≤ 90°, low angle first)
two_theta	I/Imax	index
17.5	51	1 -1 1
17.7	100	-1 1 1
18.4	59	1 1 1
19.0	85	0 2 -1
25.2	83	0 2 2
26.1	88	2 0 0
26.5	53	0 1 3
27.5	57	2 -1 0
28.3	47	2 1 -1
33.2	47	1 -3 2

```
data_Li3Bi2P5O18
_space_group_name_H-M_alt 'P -1'
_space_group_IT_number 2
_cell_length_a 6.848
_cell_length_b 9.916
_cell_length_c 11.192
_cell_angle_alpha 95.45
_cell_angle_beta 92.51
_cell_angle_gamma 90.29
loop_
_space_group_symop_operation_xyz
'x,y,z'
'-x,-y,-z'
loop_
_atom_site_label
_atom_site_type_symbol
_atom_site_fract_x
_atom_site_fract_y
_atom_site_fract_z
Li1 Li 0.106 0.179 0.198
Li2 Li 0.172 0.881 0.153
Li3 Li 0.336 0.360 0.336
Bi1 Bi 0.237 0.352 0.893
Bi2 Bi 0.330 0.767 0.454
P1 P 0.154 0.579 0.689
P2 P 0.171 0.288 0.592
P3 P 0.225 0.012 0.903
P4 P 0.276 0.578 0.148
P5 P 0.475 0.045 0.294
O1 O 0.001 0.197 0.544
O2 O 0.024 0.333 0.299
O3 O 0.040 0.988 0.825
O4 O 0.073 0.435 0.621
O5 O 0.099 0.679 0.139
O6 O 0.213 0.437 0.080
O7 O 0.231 0.160 0.973
O8 O 0.244 0.545 0.814
O9 O 0.261 0.919 0.000
O10 O 0.264 0.247 0.713
O11 O 0.319 0.628 0.616
O12 O 0.331 0.556 0.278
O13 O 0.335 0.301 0.506
O14 O 0.335 0.925 0.309
O15 O 0.370 0.171 0.261
O16 O 0.376 0.934 0.598
O17 O 0.408 0.013 0.821
O18 O 0.442 0.644 0.081
```